Computed powder X-ray diffraction pattern
Compound: MnGa2Cu3Se6
Radiation: Cu Ka
Structure: a crystal structure in Alexandria, relaxed with PBE
Intensities are scaled so that the largest is 100.

Structural model:
Cell lengths 7.9702, 23.9828, 11.3217 Å; angles 90.00, 90.00, 90.00 degrees
Space group Fdd2 (No. 43)
Unique sites:
1 Mn 0.0000 0.0000 0.0000 x8
2 Ga 0.0044 0.3336 0.9998 x16
3 Cu 0.0000 0.0000 0.5015 x8
4 Cu 0.0031 0.1672 0.9987 x16
5 Se 0.0027 0.0821 0.3735 x16
6 Se 0.0038 0.2495 0.8757 x16
7 Se 0.0041 0.4150 0.3757 x16

Peak list (8 most intense, 10 to 80 degrees two-theta, by angle)
| hkl | Position (°2θ) | I (rel.) |
| --- | --- | --- |
| 2 0 2 | 27.3 | 100.0 |
| 2 6 4 | 45.4 | 60.6 |
| 4 0 0 | 45.5 | 12.0 |
| 0 6 6 | 53.8 | 29.0 |
| 4 6 2 | 53.9 | 14.3 |
| 0 0 8 | 66.0 | 3.8 |
| 4 12 0 | 66.2 | 7.4 |
| 4 6 6 | 73.0 | 14.1 |